(1)
This entry pairs a crystal structure of Pr2AgSe with its simulated powder diffraction line list. Radiation: λ = 1.5418 Å (Cu Kα). Structure: the GGA-PBE geometry in Alexandria.
Lines closer than 0.1° are merged.

Peak list (12 most intense, 2θ from 10° to 80°, low angle first)
- (1 5 0), d 3.202, I = 20
- (0 8 0), d 3.067, I = 48
- (1 1 1), d 3.006, I = 100
- (1 3 1), d 2.840, I = 16
- (1 7 1), d 2.292, I = 53
- (0 0 2), d 2.172, I = 26
- (2 0 0), d 2.113, I = 24
- (1 9 1), d 2.026, I = 20
- (0 8 2), d 1.772, I = 19
- (2 8 0), d 1.740, I = 18
- (2 0 2), d 1.514, I = 16
- (2 8 2), d 1.358, I = 16

Atomic structure:
```
data_Pr2AgSe
_cell_length_a 4.225
_cell_length_b 24.534
_cell_length_c 4.343
_cell_angle_alpha 90.00
_cell_angle_beta 90.00
_cell_angle_gamma 90.00
_symmetry_space_group_name_H-M 'C m c m'
_symmetry_Int_Tables_number 63
_symmetry_space_group_name_Hall '-C 2c 2'
loop_
_atom_site_label
_atom_site_type_symbol
_atom_site_fract_x
_atom_site_fract_y
_atom_site_fract_z
_atom_site_occupancy
Pr1 Pr 0.000 0.071 0.250 1
Pr2 Pr 0.000 0.313 0.250 1
Ag1 Ag 0.000 0.460 0.250 1
Se1 Se 0.000 0.192 0.250 1
```

=====

(2)
This entry pairs a crystal structure of TbPm5Ho2Sc with its simulated powder diffraction line list. Radiation: λ = 1.5418 Å (Cu Kα). Structure: the GGA-PBE geometry in Alexandria.
Lines closer than 0.1° are merged.

Peak list (12 most intense, 2θ from 10° to 80°, low angle first)
- (1 3 2), d 3.290, I = 35
- (1 1 3), d 2.843, I = 9
- (1 5 2), d 2.818, I = 100
- (0 8 0), d 2.729, I = 14
- (2 0 0), d 2.672, I = 40
- (0 0 4), d 2.549, I = 16
- (2 8 0), d 1.909, I = 10
- (0 8 4), d 1.862, I = 9
- (2 0 4), d 1.844, I = 13
- (1 3 6), d 1.581, I = 9
- (3 5 2), d 1.570, I = 17
- (1 13 2), d 1.528, I = 22

Atomic structure:
```
data_TbPm5Ho2Sc
_cell_length_a 5.346
_cell_length_b 21.829
_cell_length_c 10.194
_cell_angle_alpha 90.00
_cell_angle_beta 90.00
_cell_angle_gamma 90.00
_symmetry_space_group_name_H-M 'C m c m'
_symmetry_Int_Tables_number 63
_symmetry_space_group_name_Hall '-C 2c 2'
loop_
_atom_site_label
_atom_site_type_symbol
_atom_site_fract_x
_atom_site_fract_y
_atom_site_fract_z
_atom_site_occupancy
Tb1 Tb 0.000 0.101 0.250 1
Pm1 Pm 0.000 0.000 0.000 1
Pm2 Pm 0.000 0.126 0.750 1
Pm3 Pm 0.000 0.221 0.062 1
Pm4 Pm 0.000 0.499 0.250 1
Ho1 Ho 0.000 0.384 0.501 1
Sc1 Sc 0.000 0.285 0.750 1
```

=====

(3)
This entry pairs a crystal structure of CaTiAg2P with its simulated powder diffraction line list. Radiation: λ = 1.5418 Å (Cu Kα). Structure: the GGA-PBE geometry in Alexandria.
Lines closer than 0.1° are merged.

Peak list (12 most intense, 2θ from 10° to 80°, low angle first)
- (0 0 1), d 4.673, I = 53
- (1 1 0), d 3.602, I = 15
- (1 1 1), d 2.853, I = 100
- (2 0 0), d 2.547, I = 69
- (0 0 2), d 2.337, I = 27
- (2 0 1), d 2.237, I = 31
- (2 2 0), d 1.801, I = 23
- (2 0 2), d 1.722, I = 39
- (2 2 1), d 1.681, I = 12
- (3 1 1), d 1.523, I = 27
- (1 1 3), d 1.430, I = 11
- (2 2 2), d 1.427, I = 20

Atomic structure:
```
data_CaTiAg2P
_cell_length_a 5.095
_cell_length_b 5.095
_cell_length_c 4.673
_cell_angle_alpha 90.00
_cell_angle_beta 90.00
_cell_angle_gamma 90.00
_symmetry_space_group_name_H-M 'P 4/m m m'
_symmetry_Int_Tables_number 123
_symmetry_space_group_name_Hall '-P 4 2'
loop_
_atom_site_label
_atom_site_type_symbol
_atom_site_fract_x
_atom_site_fract_y
_atom_site_fract_z
_atom_site_occupancy
Ca1 Ca 0.000 0.000 0.000 1
Ti1 Ti 0.500 0.500 0.500 1
Ag1 Ag 0.000 0.500 0.500 1
P1 P 0.500 0.500 0.000 1
```

=====

(4)
This entry pairs a crystal structure of NaTmRe2N6 with its simulated powder diffraction line list. Radiation: λ = 1.5418 Å (Cu Kα). Structure: the GGA-PBE geometry in Alexandria.
Lines closer than 0.1° are merged.

Peak list (12 most intense, 2θ from 10° to 80°, low angle first)
- (1 1 0), d 7.163, I = 30
- (1 1 -1), d 5.230, I = 53
- (0 2 1), d 3.759, I = 39
- (2 2 0), d 3.581, I = 50
- (2 2 -1), d 3.481, I = 100
- (3 1 -1), d 3.431, I = 33
- (3 1 0), d 3.281, I = 25
- (0 0 2), d 2.911, I = 43
- (1 3 1), d 2.635, I = 28
- (4 0 0), d 2.614, I = 27
- (4 0 -2), d 2.462, I = 26
- (0 4 1), d 2.267, I = 24

Atomic structure:
```
data_NaTmRe2N6
_cell_length_a 11.283
_cell_length_b 9.845
_cell_length_c 6.292
_cell_angle_alpha 90.00
_cell_angle_beta 112.29
_cell_angle_gamma 90.00
_symmetry_space_group_name_H-M 'C 1 2/c 1'
_symmetry_Int_Tables_number 15
_symmetry_space_group_name_Hall '-C 2yc'
loop_
_atom_site_label
_atom_site_type_symbol
_atom_site_fract_x
_atom_site_fract_y
_atom_site_fract_z
_atom_site_occupancy
Na1 Na 0.000 0.084 0.250 1
Tm1 Tm 0.000 0.283 0.750 1
Re1 Re 0.206 0.412 0.197 1
N1 N 0.118 0.261 0.151 1
N2 N 0.127 0.124 0.685 1
N3 N 0.151 0.472 0.891 1
```

=====

(5)
This entry pairs a crystal structure of Pr8Rh3NCl3 with its simulated powder diffraction line list. Radiation: λ = 1.5418 Å (Cu Kα). Structure: the GGA-PBE geometry in Alexandria.
Lines closer than 0.1° are merged.

Peak list (12 most intense, 2θ from 10° to 80°, low angle first)
- (0 0 1), d 7.422, I = 43
- (0 0 2), d 3.711, I = 6
- (2 0 0), d 3.359, I = 27
- (0 2 0), d 2.977, I = 100
- (2 0 -3), d 2.361, I = 23
- (2 0 2), d 2.184, I = 27
- (2 2 -2), d 2.035, I = 24
- (4 -2 0), d 2.032, I = 12
- (2 0 3), d 1.755, I = 10
- (4 0 0), d 1.680, I = 17
- (0 4 -5), d 1.541, I = 9
- (2 4 -2), d 1.296, I = 7

Atomic structure:
```
data_Pr8Rh3NCl3
_cell_length_a 8.127
_cell_length_b 8.138
_cell_length_c 8.781
_cell_angle_alpha 117.56
_cell_angle_beta 90.07
_cell_angle_gamma 119.89
_symmetry_space_group_name_H-M 'P -1'
_symmetry_Int_Tables_number 2
_symmetry_space_group_name_Hall '-P 1'
loop_
_atom_site_label
_atom_site_type_symbol
_atom_site_fract_x
_atom_site_fract_y
_atom_site_fract_z
_atom_site_occupancy
Pr1 Pr 0.220 0.477 0.197 1
Pr2 Pr 0.221 0.942 0.198 1
Pr3 Pr 0.244 0.523 0.803 1
Pr4 Pr 0.263 0.027 0.789 1
Rh1 Rh 0.000 0.000 0.000 1
Rh2 Rh 0.500 0.000 0.000 1
Rh3 Rh 0.500 0.500 0.000 1
N1 N 0.000 0.500 0.000 1
Cl1 Cl 0.000 0.000 0.500 1
Cl2 Cl 0.000 0.500 0.500 1
Cl3 Cl 0.500 0.000 0.500 1
```